For RbPaSnS4, a cell relaxed with GGA-PBE gives the theoretical X-ray powder pattern in this record (Cu Kα (weighted mean of Kα1 and Kα2)).

Principal peaks in the range 10° ≤ 2θ ≤ 80°, by angle:
- 2θ 12.33, I = 86
- 2θ 19.70, I = 17
- 2θ 23.62, I = 28
- 2θ 24.55, I = 100
- 2θ 24.84, I = 43
- 2θ 29.04, I = 41
- 2θ 30.14, I = 19
- 2θ 37.57, I = 44
- 2θ 39.28, I = 20
- 2θ 42.35, I = 58

Atomic structure:
```
RbPaSnS4
1.0
-4.207 4.507 5.929
4.207 -4.507 5.929
4.207 4.507 -5.929
Rb Pa Sn S
2 2 2 8
Direct
0.387 0.137 0.250
0.613 0.863 0.750
0.000 0.000 0.500
0.000 0.500 0.000
0.000 0.500 0.500
0.500 0.500 0.000
0.184 0.744 0.440
0.196 0.256 0.940
0.217 0.248 0.531
0.217 0.686 0.969
0.783 0.314 0.031
0.783 0.752 0.469
0.804 0.744 0.060
0.816 0.256 0.560
```